For Y4Er6Tm, DFT lattice parameters and positions (GGA-PBE) gives the theoretical XRD peak list in this record (Cu Ka).

Main lines, low angle first (10 to 80 degrees two-theta):
- hkl 1 1 2, 21.96°, d = 4.048 Å, I = 32
- hkl 2 0 2, 29.37°, d = 3.041 Å, I = 59
- hkl 2 1 1, 31.15°, d = 2.872 Å, I = 83
- hkl 2 0 4, 34.72°, d = 2.584 Å, I = 100
- hkl 1 1 6, 37.34°, d = 2.408 Å, I = 27
- hkl 2 1 5, 40.84°, d = 2.210 Å, I = 32

Structure:
Lattice parameters (Å, degrees): 6.515 6.515 16.952 90.00 90.00 90.00
Space group I-42m (No. 121)
Unique sites:
Y1 0.187 0.187 0.326 x8
Er1 0.000 0.500 0.000 x4
Er2 0.179 0.179 0.129 x8
Tm1 0.000 0.000 0.500 x2